# 1
Li4Ti2Nb3Fe3O16: simulated powder diffractogram (CuKα), based on a structure optimized by DFT (PBE+U).
No peak broadening, texture or thermal motion is included.

Principal peaks in the range 15° ≤ 2θ ≤ 90°, sorted by position:
two_theta	I_rel
18.06	100
18.72	32
18.98	42
19.17	41
24.60	16
32.43	18
34.62	20
34.80	24
35.08	45
35.32	32
44.29	24
60.29	30

Crystal structure
Cell lengths 6.0743, 6.1406, 9.8283 Å; angles 88.59, 89.72, 60.39 degrees
Positions (direct):
Li  0.0000  0.0000  0.0000
Li  0.0065  0.9859  0.5118
Li  0.3456  0.3116  0.4186
Li  0.6719  0.6526  0.9088
Ti  0.3694  0.2678  0.9997
Ti  0.6808  0.6411  0.5242
Nb  0.1882  0.6182  0.7436
Nb  0.3581  0.7980  0.2345
Nb  0.8405  0.7929  0.2321
Fe  0.1780  0.1516  0.7240
Fe  0.6686  0.1526  0.7240
Fe  0.8462  0.3184  0.2232
O  0.0107  0.9720  0.3244
O  0.0191  0.9594  0.8145
O  0.0432  0.4734  0.8685
O  0.1694  0.6571  0.1185
O  0.1865  0.1408  0.1093
O  0.3291  0.3421  0.6141
O  0.3609  0.7902  0.6084
O  0.4785  0.4733  0.8697
O  0.4831  0.0311  0.8671
O  0.5203  0.9540  0.3584
O  0.5257  0.5088  0.3548
O  0.6641  0.6635  0.1057
O  0.6708  0.1362  0.1077
O  0.8379  0.3228  0.6043
O  0.8474  0.7910  0.6100
O  0.9665  0.5157  0.3614

=====

# 2
Li4Ti2Nb3Fe3O16: simulated powder diffractogram (CuKα), based on a structure optimized by DFT (PBE+U).
No peak broadening, texture or thermal motion is included.

Principal peaks in the range 15° ≤ 2θ ≤ 90°, sorted by position:
two_theta	I_rel
17.94	100
19.22	83
19.35	27
24.77	22
32.05	16
32.19	15
34.85	30
35.58	43
35.70	25
39.01	28
44.21	42
58.44	25

Crystal structure
Cell lengths 5.9974, 6.0110, 9.8886 Å; angles 89.64, 89.49, 60.28 degrees
Positions (direct):
Li  0.0000  0.0000  0.0000
Li  0.0077  0.0086  0.4853
Li  0.3311  0.3323  0.3944
Li  0.6632  0.6597  0.9025
Ti  0.3267  0.3241  0.0080
Ti  0.6456  0.6356  0.4869
Nb  0.1560  0.6529  0.7198
Nb  0.6400  0.1572  0.7153
Nb  0.8140  0.8161  0.2231
Fe  0.1922  0.1650  0.7149
Fe  0.3443  0.8297  0.2147
Fe  0.8294  0.3453  0.2143
O  0.0315  0.4859  0.8459
O  0.1558  0.6500  0.0947
O  0.1664  0.1675  0.0937
O  0.3323  0.3499  0.5890
O  0.3344  0.8199  0.5953
O  0.4787  0.4805  0.8378
O  0.4860  0.0296  0.8521
O  0.5177  0.5185  0.3488
O  0.5216  0.9618  0.3532
O  0.6498  0.1570  0.0958
O  0.6640  0.6632  0.0960
O  0.8164  0.3344  0.5946
O  0.8301  0.8315  0.5991
O  0.9601  0.5230  0.3541
O  0.9928  0.9941  0.2992
O  0.9936  0.9993  0.8118

=====

# 3
Li4Nb2V3Fe3O16: simulated powder diffractogram (CuKα), based on a structure optimized by DFT (PBE+U).
No peak broadening, texture or thermal motion is included.

Principal peaks in the range 15° ≤ 2θ ≤ 90°, sorted by position:
two_theta	I_rel
18.13	31
19.19	100
19.33	91
24.87	32
25.00	25
32.32	52
32.44	27
34.99	44
35.44	33
35.79	23
44.29	33
58.97	21

Crystal structure
Cell lengths 6.0031, 6.0240, 9.7855 Å; angles 89.96, 89.73, 60.61 degrees
Positions (direct):
Li  0.0000  0.0000  0.0000
Li  0.0001  0.0026  0.4995
Li  0.3149  0.3435  0.5909
Li  0.6465  0.6741  0.0901
Nb  0.3292  0.3328  0.9928
Nb  0.6657  0.6638  0.4936
V  0.1650  0.6594  0.2750
V  0.1692  0.1782  0.2680
V  0.3410  0.8289  0.7674
Fe  0.6505  0.1719  0.2767
Fe  0.8191  0.3450  0.7765
Fe  0.8226  0.8304  0.7754
O  0.0117  0.0038  0.1894
O  0.0133  0.9846  0.6890
O  0.0231  0.4757  0.1476
O  0.1556  0.6664  0.8961
O  0.1676  0.1662  0.8989
O  0.2960  0.3363  0.3845
O  0.3348  0.8405  0.3950
O  0.4519  0.0448  0.1427
O  0.4561  0.4916  0.1455
O  0.4891  0.5450  0.6413
O  0.5030  0.9713  0.6511
O  0.6223  0.6990  0.8829
O  0.6614  0.1613  0.9015
O  0.8321  0.3406  0.4032
O  0.8318  0.8342  0.4005
O  0.9444  0.5380  0.6473

=====

# 4
Li4Nb3V2Fe3O16: simulated powder diffractogram (CuKα), based on a structure optimized by DFT (PBE+U).
No peak broadening, texture or thermal motion is included.

Principal peaks in the range 15° ≤ 2θ ≤ 90°, sorted by position:
two_theta	I_rel
18.07	100
18.83	53
19.01	31
24.44	15
34.78	22
34.88	21
35.03	29
35.19	15
43.45	29
44.17	25
58.81	18
60.30	29

Crystal structure
Cell lengths 6.1055, 6.1375, 9.8226 Å; angles 90.22, 91.08, 119.76 degrees
Positions (direct):
Li  0.0000  0.0000  0.0000
Li  0.0155  0.0052  0.5140
Li  0.3578  0.6759  0.8957
Li  0.6937  0.3443  0.4164
Nb  0.2094  0.8522  0.2257
Nb  0.2113  0.3569  0.2256
Nb  0.3736  0.1866  0.7258
V  0.3791  0.6971  0.5104
V  0.7222  0.3593  0.9878
Fe  0.6964  0.8494  0.2274
Fe  0.8556  0.6726  0.7254
Fe  0.8640  0.1849  0.7250
O  0.0403  0.0285  0.8200
O  0.0561  0.0305  0.3285
O  0.0740  0.5384  0.3463
O  0.2058  0.3473  0.6143
O  0.2138  0.8650  0.6088
O  0.3425  0.6691  0.1116
O  0.3611  0.1798  0.1169
O  0.5008  0.5266  0.3537
O  0.5027  0.9790  0.3526
O  0.5318  0.4730  0.8658
O  0.5478  0.0503  0.8509
O  0.6835  0.3282  0.6133
O  0.7021  0.8562  0.6086
O  0.8857  0.1951  0.1142
O  0.8924  0.6980  0.1130
O  0.9877  0.4847  0.8549